The following is a computed powder diffraction line list of Li2FeH4. It was derived from a GGA-PBE-relaxed structure, using Cu Ka.

abc: 3.181 3.181 9.667
angles: 90.00 90.00 90.00
Space group I4/mmm (No. 139)
Unique sites:
Li  0.000  0.000  0.144
Fe  0.000  0.000  0.500
H  0.000  0.000  0.335
H  0.000  0.500  0.000

Most intense lines, 5 to 70 degrees two-theta, low angle first:
- 18.35 deg, rel. 96
- 29.56 deg, rel. 100
- 37.20 deg, rel. 12
- 39.82 deg, rel. 63
- 40.09 deg, rel. 34
- 44.43 deg, rel. 29
- 55.63 deg, rel. 19
- 57.99 deg, rel. 12
- 61.37 deg, rel. 12
- 66.43 deg, rel. 16